This entry pairs a crystal structure of CaDyNi4O12 with its simulated powder diffractogram. Radiation: Cu Kα, 1.54184 Å. Structure: a crystal structure in Alexandria, relaxed with GGA+U.
Kinematic intensities with the Lorentz-polarization factor, no thermal factor.

Crystal structure
Cell: 7.5725 7.4163 7.6283 Å, 90.00 90.00 90.00°
Space group Amm2 (No. 38)
One atom of each set of equivalent atoms:
Ca 0.0000 0.0000 0.0000
Dy 0.5000 0.0000 0.5331
Ni 0.2497 0.2442 0.2670
O 0.0000 0.2146 0.7750
O 0.2010 0.0000 0.2272
O 0.2683 0.2181 0.5181
O 0.2972 0.0000 0.7702
O 0.5000 0.1942 0.2878

Most intense lines, 10° ≤ 2θ ≤ 90°, by angle:
hkl 1 0 0, 2θ 11.7, d 7.572, rel. 29; hkl 0 1 1, 2θ 16.7, d 5.317, rel. 26; hkl 1 1 1, 2θ 20.4, d 4.352, rel. 100; hkl 2 0 2, 2θ 33.3, d 2.687, rel. 48; hkl 0 2 2, 2θ 33.7, d 2.659, rel. 50; hkl 2 2 0, 2θ 33.8, d 2.649, rel. 54; hkl 0 0 4, 2θ 47.7, d 1.907, rel. 22; hkl 4 2 2, 2θ 60.0, d 1.542, rel. 22